[1]
Starting from a GGA-PBE-relaxed structure, the PXRD pattern of SmB2 was calculated for CuKα.
Kinematic intensities with the Lorentz-polarization factor, no thermal factor.

Structure:
```
data_SmB2
_chemical_formula_sum 'Sm1 B2'
_cell_length_a 3.3341
_cell_length_b 3.3341
_cell_length_c 4.0308
_cell_angle_alpha 90.00
_cell_angle_beta 90.00
_cell_angle_gamma 120.00
_space_group_name_H-M_alt 'P 6/m m m'
_space_group_IT_number 191
_space_group_name_Hall '-P 6 2'
loop_
_atom_site_label
_atom_site_fract_x
_atom_site_fract_y
_atom_site_fract_z
Sm1 0.0000 0.0000 0.0000
B1 0.3333 0.6667 0.5000
```

Main lines, sorted by position (5 to 70 degrees two-theta):
- 22.05°, intensity 47
- 30.97°, intensity 71
- 38.35°, intensity 100
- 44.98°, intensity 12
- 55.09°, intensity 19
- 55.61°, intensity 28
- 60.06°, intensity 20
- 64.55°, intensity 9
- 69.11°, intensity 17

[2]
Starting from a GGA-PBE-relaxed structure, the PXRD pattern of K2SnN6 was calculated for CuKα.
Kinematic intensities with the Lorentz-polarization factor, no thermal factor.

Structure:
```
data_K2SnN6
_chemical_formula_sum 'K8 Sn4 N24'
_cell_length_a 9.0084
_cell_length_b 9.0084
_cell_length_c 9.0084
_cell_angle_alpha 90.00
_cell_angle_beta 90.00
_cell_angle_gamma 90.00
_space_group_name_H-M_alt 'F m -3 m'
_space_group_IT_number 225
_space_group_name_Hall '-F 4 2 3'
loop_
_atom_site_label
_atom_site_fract_x
_atom_site_fract_y
_atom_site_fract_z
K1 0.2500 0.2500 0.2500
Sn1 0.0000 0.0000 0.0000
N1 0.0000 0.0000 0.2411
```

Main lines, sorted by position (5 to 70 degrees two-theta):
- 17.05°, intensity 100
- 28.02°, intensity 89
- 32.98°, intensity 54
- 40.04°, intensity 43
- 43.80°, intensity 23
- 49.57°, intensity 37
- 52.80°, intensity 22
- 57.91°, intensity 25
- 60.83°, intensity 21
- 65.54°, intensity 17

[3]
Starting from a GGA-PBE-relaxed structure, the PXRD pattern of Hf8MnTe6 was calculated for CuKα.
Kinematic intensities with the Lorentz-polarization factor, no thermal factor.

Structure:
```
data_Hf8MnTe6
_chemical_formula_sum 'Hf16 Mn2 Te12'
_cell_length_a 3.7490
_cell_length_b 26.0940
_cell_length_c 7.6996
_cell_angle_alpha 90.00
_cell_angle_beta 90.00
_cell_angle_gamma 90.00
_space_group_name_H-M_alt 'P m m n'
_space_group_IT_number 59
loop_
_space_group_symop_operation_xyz
'x,y,z'
'-x,-y,-z'
'-x+1/2,-y+1/2,z'
'x+1/2,y+1/2,-z'
'x+1/2,-y,-z'
'-x+1/2,y,z'
'-x,y+1/2,-z'
'x,-y+1/2,z'
loop_
_atom_site_label
_atom_site_fract_x
_atom_site_fract_y
_atom_site_fract_z
Hf1 0.2500 0.0515 0.0590
Hf2 0.2500 0.1828 0.2628
Hf3 0.2500 0.2500 0.9278
Hf4 0.2500 0.6511 0.0531
Hf5 0.2500 0.7500 0.4620
Mn1 0.2500 0.7500 0.8189
Te1 0.2500 0.1685 0.6515
Te2 0.2500 0.5479 0.2214
Te3 0.2500 0.5936 0.6991
```

Main lines, sorted by position (5 to 70 degrees two-theta):
- 6.77°, intensity 64
- 11.49°, intensity 49
- 13.35°, intensity 20
- 31.60°, intensity 100
- 33.91°, intensity 21
- 34.96°, intensity 32
- 35.13°, intensity 23
- 36.14°, intensity 30
- 37.67°, intensity 68
- 48.57°, intensity 34

[4]
Starting from a GGA-PBE-relaxed structure, the PXRD pattern of La9B3C6Br5 was calculated for CuKα.
Kinematic intensities with the Lorentz-polarization factor, no thermal factor.

Structure:
```
data_La9B3C6Br5
_chemical_formula_sum 'La18 B6 C12 Br10'
_cell_length_a 3.8893
_cell_length_b 33.3219
_cell_length_c 7.9815
_cell_angle_alpha 90.00
_cell_angle_beta 90.00
_cell_angle_gamma 90.00
_space_group_name_H-M_alt 'P m m n'
_space_group_IT_number 59
loop_
_space_group_symop_operation_xyz
'x,y,z'
'-x,-y,-z'
'-x+1/2,-y+1/2,z'
'x+1/2,y+1/2,-z'
'x+1/2,-y,-z'
'-x+1/2,y,z'
'-x,y+1/2,-z'
'x,-y+1/2,z'
loop_
_atom_site_label
_atom_site_fract_x
_atom_site_fract_y
_atom_site_fract_z
La1 0.2500 0.0092 0.1953
La2 0.2500 0.0956 0.9153
La3 0.2500 0.1331 0.3497
La4 0.2500 0.6945 0.9500
La5 0.2500 0.7500 0.5487
B1 0.2500 0.2500 0.2268
B2 0.2500 0.5799 0.8630
C1 0.2500 0.2066 0.2719
C2 0.2500 0.5436 0.9729
C3 0.2500 0.6246 0.8649
Br1 0.2500 0.0480 0.5743
Br2 0.2500 0.2500 0.7856
Br3 0.2500 0.6520 0.3268
```

Main lines, sorted by position (5 to 70 degrees two-theta):
- 24.25°, intensity 81
- 29.04°, intensity 100
- 29.20°, intensity 66
- 30.21°, intensity 89
- 31.75°, intensity 55
- 33.94°, intensity 94
- 43.79°, intensity 43
- 46.71°, intensity 48
- 55.98°, intensity 53
- 58.95°, intensity 47

[5]
Starting from a GGA-PBE-relaxed structure, the PXRD pattern of Ti2Cu3 was calculated for CuKα.
Kinematic intensities with the Lorentz-polarization factor, no thermal factor.

Structure:
```
data_Ti2Cu3
_chemical_formula_sum 'Ti4 Cu6'
_cell_length_a 3.1466
_cell_length_b 3.1466
_cell_length_c 13.9827
_cell_angle_alpha 90.00
_cell_angle_beta 90.00
_cell_angle_gamma 90.00
_space_group_name_H-M_alt 'P 4/n m m'
_space_group_IT_number 129
loop_
_space_group_symop_operation_xyz
'x,y,z'
'-x,-y,-z'
'-y+1/2,x,z'
'y+1/2,-x,-z'
'-x+1/2,-y+1/2,z'
'x+1/2,y+1/2,-z'
'y,-x+1/2,z'
'-y,x+1/2,-z'
'x+1/2,-y,-z'
'-x+1/2,y,z'
'-y,-x,-z'
'y,x,z'
'-x,y+1/2,-z'
'x,-y+1/2,z'
'y+1/2,x+1/2,-z'
'-y+1/2,-x+1/2,z'
loop_
_atom_site_label
_atom_site_fract_x
_atom_site_fract_y
_atom_site_fract_z
Ti1 0.2500 0.2500 0.0605
Ti2 0.2500 0.2500 0.6455
Cu1 0.2500 0.2500 0.2558
Cu2 0.2500 0.2500 0.4552
Cu3 0.2500 0.2500 0.8359
```

Main lines, sorted by position (5 to 70 degrees two-theta):
- 6.32°, intensity 8
- 12.66°, intensity 2
- 19.04°, intensity 4
- 31.17°, intensity 2
- 40.55°, intensity 66
- 43.28°, intensity 100
- 45.16°, intensity 2
- 48.62°, intensity 5
- 58.68°, intensity 20
- 66.92°, intensity 5